The following is a calculated XRD peak list of Li6FeNiP2C2O14. It was derived from a crystal structure in Alexandria, relaxed with GGA+U, using Cu Kα X-rays.
Neutral-atom scattering factors, no anomalous dispersion.

Top 10 peaks for 5° ≤ 2θ ≤ 70°, by angle:
h k l  Position (°2θ)  I (rel.)
0 0 1  10.49  87
0 1 1  17.25  29
1 0 -1  19.88  34
1 0 1  21.73  59
1 1 1  25.75  17
1 0 -2  26.36  34
0 2 0  27.51  100
2 0 -1  36.83  31
1 1 3  40.93  26
2 1 -2  42.85  17

Atomic structure:
```
data_Li6FeNiP2C2O14
_space_group_name_H-M_alt 'P 1 m 1'
_space_group_IT_number 6
_cell_length_a 4.971
_cell_length_b 6.483
_cell_length_c 8.477
_cell_angle_alpha 90.00
_cell_angle_beta 95.78
_cell_angle_gamma 90.00
loop_
_space_group_symop_operation_xyz
'x,y,z'
'x,-y,z'
loop_
_atom_site_label
_atom_site_fract_x
_atom_site_fract_y
_atom_site_fract_z
Li1 0.000 0.000 0.000
Li2 0.060 0.268 0.621
Li3 0.528 0.234 0.168
Li4 0.589 0.500 0.790
Fe1 0.580 0.000 0.559
Ni1 0.003 0.500 0.228
P1 0.064 0.000 0.304
P2 0.527 0.500 0.482
C1 0.114 0.500 0.939
C2 0.471 0.000 0.857
O1 0.185 0.500 0.796
O2 0.211 0.500 0.458
O3 0.287 0.000 0.735
O4 0.296 0.500 0.062
O5 0.380 0.000 0.323
O6 0.401 0.000 0.000
O7 0.632 0.315 0.588
O8 0.633 0.500 0.318
O9 0.722 0.000 0.828
O10 0.863 0.500 0.967
O11 0.956 0.187 0.202
O12 0.966 0.000 0.471
```